No. 1
Structure and theoretical XRD peak list of Ag2I2Cl7 (the GGA-PBE geometry in Alexandria; copper Kα).
Neutral-atom scattering factors, no anomalous dispersion.

Atomic structure:
Cell lengths 9.1052, 11.9360, 15.7197 Å; angles 90.00, 94.86, 90.00 degrees
Space group C2/c (No. 15)
Asymmetric unit:
Ag 0.1154 0.1116 0.4988 [8 per cell]
I 0.2101 0.3230 0.2323 [8 per cell]
Cl 0.0000 0.1900 0.7500 [4 per cell]
Cl 0.0913 0.0475 0.1017 [8 per cell]
Cl 0.2064 0.2734 0.4004 [8 per cell]
Cl 0.2076 0.3736 0.0839 [8 per cell]

Peak list (12 most intense, 10 to 80 degrees two-theta, in order of falling intensity)
2θ 24.93, d 3.572, I = 100, hkl 2 2 -1
2θ 15.89, d 5.577, I = 99, hkl 0 2 1
2θ 12.25, d 7.223, I = 73, hkl 1 1 0
2θ 22.68, d 3.920, I = 55, hkl 0 0 4
2θ 18.69, d 4.747, I = 48, hkl 0 2 2
2θ 36.70, d 2.449, I = 47, hkl 2 2 -5
2θ 30.50, d 2.931, I = 44, hkl 0 4 1
2θ 17.25, d 5.140, I = 40, hkl 1 1 2
2θ 13.15, d 6.734, I = 39, hkl 1 1 -1
2θ 31.50, d 2.840, I = 37, hkl 3 1 1
2θ 19.57, d 4.536, I = 32, hkl 2 0 0
2θ 20.30, d 4.374, I = 32, hkl 1 1 -3

***

No. 2
Structure and theoretical XRD peak list of K3Ag2I2Cl4 (the GGA-PBE geometry in Alexandria; copper Kα).
Neutral-atom scattering factors, no anomalous dispersion.

Atomic structure:
Cell lengths 5.0958, 5.0958, 27.5173 Å; angles 90.00, 90.00, 90.00 degrees
Space group I4/mmm (No. 139)
Asymmetric unit:
K 0.0000 0.0000 0.0000 [2 per cell]
K 0.0000 0.0000 0.1671 [4 per cell]
Ag 0.0000 0.0000 0.4082 [4 per cell]
I 0.0000 0.0000 0.3023 [4 per cell]
Cl 0.0000 0.5000 0.0749 [8 per cell]

Peak list (12 most intense, 10 to 80 degrees two-theta, in order of falling intensity)
2θ 28.68, d 3.113, I = 100, hkl 1 0 7
2θ 35.22, d 2.548, I = 94, hkl 2 0 0
2θ 24.71, d 3.603, I = 89, hkl 1 1 0
2θ 17.70, d 5.011, I = 65, hkl 1 0 1
2θ 19.93, d 4.455, I = 60, hkl 1 0 3
2θ 46.04, d 1.972, I = 52, hkl 2 1 7
2θ 41.28, d 2.187, I = 44, hkl 1 1 10
2θ 50.67, d 1.802, I = 31, hkl 2 2 0
2θ 25.55, d 3.486, I = 31, hkl 1 1 2
2θ 48.71, d 1.870, I = 26, hkl 2 0 10
2θ 25.90, d 3.440, I = 26, hkl 0 0 8
2θ 44.24, d 2.047, I = 22, hkl 2 0 8

***

No. 3
Structure and theoretical XRD peak list of KAg2ICl2 (the GGA-PBE geometry in Alexandria; copper Kα).
Neutral-atom scattering factors, no anomalous dispersion.

Atomic structure:
Cell lengths 6.9934, 5.8333, 10.0208 Å; angles 90.00, 109.91, 90.00 degrees
Space group P2_1/m (No. 11)
Asymmetric unit:
K 0.2445 0.2500 0.4135 [2 per cell]
Ag 0.4519 0.0002 0.8442 [4 per cell]
I 0.1968 0.2500 0.9674 [2 per cell]
Cl 0.2194 0.7500 0.6295 [2 per cell]
Cl 0.3757 0.7500 0.3085 [2 per cell]

Peak list (12 most intense, 10 to 80 degrees two-theta, in order of falling intensity)
2θ 13.49, d 6.563, I = 100, hkl 1 0 0
2θ 33.63, d 2.665, I = 41, hkl 1 2 0
2θ 24.47, d 3.637, I = 34, hkl 1 1 -2
2θ 41.40, d 2.181, I = 33, hkl 2 2 0
2θ 42.29, d 2.137, I = 30, hkl 0 2 3
2θ 24.32, d 3.660, I = 27, hkl 1 1 1
2θ 26.77, d 3.330, I = 26, hkl 1 0 2
2θ 20.38, d 4.358, I = 25, hkl 1 1 0
2θ 40.27, d 2.240, I = 22, hkl 2 2 -1
2θ 32.01, d 2.796, I = 20, hkl 2 0 -3
2θ 41.30, d 2.186, I = 18, hkl 1 2 -3
2θ 35.63, d 2.520, I = 18, hkl 1 0 3

***

No. 4
Structure and theoretical XRD peak list of NaAg2ICl6 (the GGA-PBE geometry in Alexandria; copper Kα).
Neutral-atom scattering factors, no anomalous dispersion.

Atomic structure:
Cell lengths 7.0615, 7.1610, 7.2319 Å; angles 70.25, 84.85, 64.81 degrees
Space group P1 (No. 1)
Asymmetric unit:
Na 0.0000 0.0000 0.0000 [1 per cell]
Ag 0.2594 0.4542 0.8741 [1 per cell]
Ag 0.8900 0.4219 0.3971 [1 per cell]
I 0.5574 0.9878 0.5382 [1 per cell]
Cl 0.1366 0.5631 0.1747 [1 per cell]
Cl 0.3773 0.7773 0.7857 [1 per cell]
Cl 0.5196 0.8266 0.2962 [1 per cell]
Cl 0.6021 0.1599 0.7824 [1 per cell]
Cl 0.7613 0.1951 0.2818 [1 per cell]
Cl 0.9853 0.3804 0.7435 [1 per cell]

Peak list (12 most intense, 10 to 80 degrees two-theta, in order of falling intensity)
2θ 19.69, d 4.509, I = 100, hkl 1 0 1
2θ 24.05, d 3.701, I = 82, hkl 1 -1 0
2θ 22.58, d 3.938, I = 69, hkl 1 1 -1
2θ 25.39, d 3.508, I = 50, hkl 0 1 2
2θ 24.50, d 3.634, I = 42, hkl -1 1 1
2θ 15.28, d 5.800, I = 38, hkl 1 1 0
2θ 30.15, d 2.964, I = 34, hkl 2 1 -1
2θ 43.55, d 2.078, I = 30, hkl 0 3 2
2θ 25.48, d 3.495, I = 27, hkl 2 1 0
2θ 29.23, d 3.056, I = 25, hkl 0 2 0
2θ 30.57, d 2.925, I = 24, hkl 1 2 2
2θ 41.49, d 2.177, I = 23, hkl 1 0 -3

***

No. 5
Structure and theoretical XRD peak list of NaAg2ICl8 (the GGA-PBE geometry in Alexandria; copper Kα).
Neutral-atom scattering factors, no anomalous dispersion.

Atomic structure:
Cell lengths 6.7723, 7.5059, 7.6031 Å; angles 90.00, 92.77, 90.00 degrees
Space group P2/m (No. 10)
Asymmetric unit:
Na 0.0000 0.0000 0.0000 [1 per cell]
Ag 0.5000 0.2507 0.5000 [2 per cell]
I 0.0000 0.5000 0.0000 [1 per cell]
Cl 0.2419 0.2648 0.1131 [4 per cell]
Cl 0.2935 0.5000 0.6018 [2 per cell]
Cl 0.2957 0.0000 0.6088 [2 per cell]

Peak list (12 most intense, 10 to 80 degrees two-theta, in order of falling intensity)
2θ 17.13, d 5.177, I = 100, hkl 1 0 -1
2θ 17.98, d 4.934, I = 82, hkl 1 0 1
2θ 37.30, d 2.411, I = 67, hkl 2 2 -1
2θ 23.43, d 3.797, I = 50, hkl 0 0 2
2θ 38.13, d 2.360, I = 42, hkl 2 2 1
2θ 27.17, d 3.282, I = 39, hkl 1 2 0
2θ 43.10, d 2.099, I = 27, hkl 0 2 3
2θ 27.49, d 3.245, I = 24, hkl 1 0 2
2θ 35.74, d 2.512, I = 23, hkl 1 2 -2
2θ 36.61, d 2.455, I = 22, hkl 1 2 2
2θ 47.02, d 1.933, I = 21, hkl 3 2 0
2θ 29.40, d 3.038, I = 19, hkl 1 2 -1

***

No. 6
Structure and theoretical XRD peak list of RbAg2ICl2 (the GGA-PBE geometry in Alexandria; copper Kα).
Neutral-atom scattering factors, no anomalous dispersion.

Atomic structure:
Cell lengths 7.3409, 5.8883, 9.9065 Å; angles 90.00, 110.28, 90.00 degrees
Space group P2_1/m (No. 11)
Asymmetric unit:
Rb 0.1724 0.2500 0.4032 [2 per cell]
Ag 0.3885 0.9998 0.8453 [4 per cell]
I 0.2500 0.7500 0.0473 [2 per cell]
Cl 0.0782 0.2500 0.7046 [2 per cell]
Cl 0.3922 0.7500 0.6239 [2 per cell]

Peak list (12 most intense, 10 to 80 degrees two-theta, in order of falling intensity)
2θ 13.08, d 6.767, I = 100, hkl 1 0 -1
2θ 33.14, d 2.703, I = 61, hkl 1 2 -1
2θ 40.62, d 2.221, I = 61, hkl 2 2 -2
2θ 23.94, d 3.718, I = 54, hkl 1 1 1
2θ 27.17, d 3.282, I = 49, hkl 1 0 -3
2θ 12.86, d 6.886, I = 45, hkl 1 0 0
2θ 42.35, d 2.134, I = 44, hkl 0 2 3
2θ 19.99, d 4.442, I = 41, hkl 1 1 -1
2θ 24.40, d 3.647, I = 36, hkl 0 1 2
2θ 30.67, d 2.915, I = 35, hkl 2 0 1
2θ 24.28, d 3.666, I = 28, hkl 2 0 -1
2θ 47.53, d 1.913, I = 26, hkl 1 2 3